Calculated powder diffractogram of La2PmSm2Y6 for λ = 1.5418 Å (Cu Kα), from DFT lattice parameters and positions (PBE).
Kinematic intensities with the Lorentz-polarization factor, no thermal factor.

Crystal structure
```
11
Lattice="2.881 -6.087 0.000 2.881 6.087 0.000 0.000 0.000 10.613" Properties=species:S:1:pos:R:3 pbc="T T T"
La 2.881 3.508 0.000
La 2.881 -3.508 0.000
Pm 2.881 0.000 0.000
Sm 2.881 4.507 5.307
Sm 2.881 -4.507 5.307
Y 0.000 0.000 2.187
Y 0.000 0.000 8.427
Y 2.881 1.827 3.214
Y 2.881 1.827 7.400
Y 2.881 -1.827 3.214
Y 2.881 -1.827 7.400
```

Peak list (12 most intense, 2θ = 10–90°, in order of falling intensity)
| d/Å | 2theta | I/Imax |
| --- | --- | --- |
| 2.813 | 31.81 | 100 |
| 2.926 | 30.55 | 73 |
| 2.881 | 31.04 | 44 |
| 1.507 | 61.55 | 25 |
| 2.053 | 44.11 | 23 |
| 1.650 | 55.70 | 20 |
| 2.653 | 33.78 | 17 |
| 1.490 | 62.31 | 17 |
| 1.741 | 52.56 | 14 |
| 1.952 | 46.53 | 14 |
| 4.676 | 18.98 | 10 |
| 1.211 | 79.05 | 9 |